Structure and calculated powder diffractogram of PmHg6Pd6 (DFT lattice parameters and positions (PBE); Cu Kα (λ = 1.5418 Å)).

Crystal structure
a b c (Å): 5.6382 9.3508 9.7989
angles (deg): 90.00 90.00 90.00
Space group Immm (No. 71)
Asymmetric unit:
Pm 0.0000 0.0000 0.0000 (multiplicity 2)
Hg 0.0000 0.0000 0.3415 (multiplicity 4)
Hg 0.0000 0.3347 0.0000 (multiplicity 4)
Hg 0.0000 0.5000 0.3211 (multiplicity 4)
Pd 0.0000 0.2624 0.5000 (multiplicity 4)
Pd 0.2500 0.2500 0.2500 (multiplicity 8)

Largest 10 diffraction maxima, in order of rising 2θ, 2θ from 10° to 90°:
Position (°2θ)  I (rel.)
31.7  100
32.8  17
36.7  35
37.2  96
37.7  31
38.5  30
41.7  90
42.9  32
66.1  24
68.8  42